HoSeBr: calculated X-ray powder pattern (copper Kα), based on a DFT-relaxed cell (GGA-PBE, Alexandria).

Top 8 peaks for 2θ = 10–90°, low angle first:
hkl 1 0 -1, 2θ = 17.5°, I = 51; hkl 0 1 1, 2θ = 24.1°, I = 100; hkl 1 1 -1, 2θ = 27.0°, I = 51; hkl 0 1 2, 2θ = 32.9°, I = 97; hkl 1 1 -2, 2θ = 33.0°, I = 56; hkl 1 1 2, 2θ = 41.0°, I = 67; hkl 2 1 -2, 2θ = 41.3°, I = 63; hkl 0 2 0, 2θ = 41.5°, I = 52

```
HoSeBr
1.0
5.5706 0.0000 0.0000
0.0000 4.3529 0.0000
-2.3745 0.0000 6.9634
Ho Se Br
2 2 2
direct
0.1662 0.2500 0.3081
0.8338 0.7500 0.6919
0.2766 0.7500 0.5697
0.7234 0.2500 0.4303
0.2599 0.7500 0.0614
0.7401 0.2500 0.9386
```